Starting from DFT lattice parameters and positions (GGA-PBE), the powder diffraction line list of TbSBr was calculated for copper Kα.

Largest 10 diffraction maxima, by angle, 2θ from 15° to 90°:
(0 1 1), 2θ = 18.84°, d = 4.711 Å, I 100.0
(1 0 1), 2θ = 25.20°, d = 3.534 Å, I 15.4
(1 0 -2), 2θ = 26.23°, d = 3.397 Å, I 25.8
(1 1 1), 2θ = 30.25°, d = 2.954 Å, I 18.4
(1 0 2), 2θ = 30.99°, d = 2.886 Å, I 36.4
(1 0 -3), 2θ = 32.42°, d = 2.762 Å, I 27.9
(0 2 0), 2θ = 33.29°, d = 2.692 Å, I 32.3
(1 1 3), 2θ = 41.96°, d = 2.153 Å, I 18.7
(1 2 2), 2θ = 46.12°, d = 1.968 Å, I 23.7
(1 2 -3), 2θ = 47.15°, d = 1.928 Å, I 19.2

Unit cell a=4.100 b=5.383 c=9.867 alpha=90.00 beta=99.46 gamma=90.00
Positions (direct):
Tb (0.202, 0.250, 0.380)
Tb (0.798, 0.750, 0.620)
S (0.223, 0.750, 0.430)
S (0.777, 0.250, 0.570)
Br (0.378, 0.750, 0.823)
Br (0.622, 0.250, 0.177)



Starting from DFT lattice parameters and positions (GGA-PBE), the powder diffraction line list of Dy3TmC2 was calculated for copper Kα.

Largest 10 diffraction maxima, by angle, 2θ from 15° to 90°:
(0 0 2), 2θ = 28.66°, d = 3.115 Å, I 24.3
(2 0 0), 2θ = 28.98°, d = 3.081 Å, I 20.1
(0 2 1), 2θ = 32.42°, d = 2.761 Å, I 100.0
(2 0 2), 2θ = 41.22°, d = 2.190 Å, I 26.3
(2 2 0), 2θ = 51.37°, d = 1.779 Å, I 20.2
(0 2 3), 2θ = 53.20°, d = 1.722 Å, I 20.2
(2 2 2), 2θ = 59.89°, d = 1.545 Å, I 18.9
(4 0 1), 2θ = 62.07°, d = 1.495 Å, I 15.7
(2 0 4), 2θ = 67.38°, d = 1.390 Å, I 8.7
(2 4 1), 2θ = 84.69°, d = 1.145 Å, I 13.4

Unit cell a=7.114 b=7.114 c=6.230 alpha=90.00 beta=90.00 gamma=120.00
Positions (direct):
Dy (0.166, 0.333, 0.282)
Dy (0.166, 0.834, 0.282)
Dy (0.333, 0.166, 0.718)
Dy (0.667, 0.834, 0.282)
Dy (0.834, 0.166, 0.718)
Dy (0.834, 0.667, 0.718)
Tm (0.333, 0.667, 0.710)
Tm (0.667, 0.333, 0.290)
C (0.000, 0.000, 0.500)
C (0.000, 0.500, 0.500)
C (0.500, 0.000, 0.500)
C (0.500, 0.500, 0.500)



What did the first record say?
Starting from DFT lattice parameters and positions (GGA-PBE), the powder diffraction line list of TbSBr was calculated for copper Kα.

Largest 10 diffraction maxima, by angle, 2θ from 15° to 90°:
(0 1 1), 2θ = 18.84°, d = 4.711 Å, I 100.0
(1 0 1), 2θ = 25.20°, d = 3.534 Å, I 15.4
(1 0 -2), 2θ = 26.23°, d = 3.397 Å, I 25.8
(1 1 1), 2θ = 30.25°, d = 2.954 Å, I 18.4
(1 0 2), 2θ = 30.99°, d = 2.886 Å, I 36.4
(1 0 -3), 2θ = 32.42°, d = 2.762 Å, I 27.9
(0 2 0), 2θ = 33.29°, d = 2.692 Å, I 32.3
(1 1 3), 2θ = 41.96°, d = 2.153 Å, I 18.7
(1 2 2), 2θ = 46.12°, d = 1.968 Å, I 23.7
(1 2 -3), 2θ = 47.15°, d = 1.928 Å, I 19.2

Unit cell a=4.100 b=5.383 c=9.867 alpha=90.00 beta=99.46 gamma=90.00
Positions (direct):
Tb (0.202, 0.250, 0.380)
Tb (0.798, 0.750, 0.620)
S (0.223, 0.750, 0.430)
S (0.777, 0.250, 0.570)
Br (0.378, 0.750, 0.823)
Br (0.622, 0.250, 0.177)